Entry 1:
Starting from a structure optimized by DFT (PBE), the powder diffraction line list of Tm3ZnPd4 was simulated for copper Kα.
Peak positions follow from Bragg's law for the DFT cell and can differ from measured ones.

Principal peaks in the range 2θ = 5–70°, in order of rising 2θ:
- hkl 2 0 0, 2θ 18.52, intensity 3
- hkl 0 1 1, 2θ 22.85, intensity 3
- hkl 2 0 1, 2θ 26.31, intensity 2
- hkl 2 1 1, 2θ 29.57, intensity 2
- hkl 4 0 0, 2θ 37.55, intensity 51
- hkl 2 2 1, 2θ 37.84, intensity 100
- hkl 4 0 2, 2θ 54.16, intensity 18
- hkl 0 4 0, 2θ 55.01, intensity 8
- hkl 6 2 1, 2θ 67.96, intensity 35
- hkl 4 4 0, 2θ 68.52, intensity 17

Structural model:
```
data_Tm3ZnPd4
_cell_length_a 9.5812
_cell_length_b 6.6768
_cell_length_c 4.7892
_cell_angle_alpha 90.00
_cell_angle_beta 90.00
_cell_angle_gamma 90.00
_space_group_name_H-M_alt 'P m m a'
_space_group_IT_number 51
loop_
_space_group_symop_operation_xyz
'x,y,z'
'-x,-y,-z'
'-x+1/2,-y,z'
'x+1/2,y,-z'
'x+1/2,-y,-z'
'-x+1/2,y,z'
'-x,y,-z'
'x,-y,z'
loop_
_atom_site_label
_atom_site_type_symbol
_atom_site_fract_x
_atom_site_fract_y
_atom_site_fract_z
_atom_site_occupancy
Tm1 Tm 0.0000 0.0000 0.0000 1
Tm2 Tm 0.2500 0.0000 0.4986 1
Tm3 Tm 0.2500 0.5000 0.4964 1
Zn1 Zn 0.0000 0.5000 0.0000 1
Pd1 Pd 0.0000 0.2569 0.5000 1
Pd2 Pd 0.2500 0.2568 0.9966 1
```

=====

Entry 2:
Starting from a structure optimized by DFT (PBE), the powder diffraction line list of Li15Cd was simulated for copper Kα.
Peak positions follow from Bragg's law for the DFT cell and can differ from measured ones.

Principal peaks in the range 2θ = 5–70°, in order of rising 2θ:
- hkl 0 0 1, 2θ 8.94, intensity 88
- hkl 1 0 0, 2θ 16.94, intensity 67
- hkl 0 0 2, 2θ 17.94, intensity 19
- hkl 1 0 1, 2θ 19.19, intensity 100
- hkl 1 0 2, 2θ 24.77, intensity 54
- hkl 1 1 1, 2θ 30.95, intensity 30
- hkl 1 0 3, 2θ 32.09, intensity 27
- hkl 1 1 2, 2θ 34.80, intensity 22
- hkl 2 0 1, 2θ 35.49, intensity 21
- hkl 2 0 2, 2θ 38.95, intensity 41

Structural model:
```
data_Li15Cd
_cell_length_a 6.0423
_cell_length_b 6.0423
_cell_length_c 9.8881
_cell_angle_alpha 90.00
_cell_angle_beta 90.00
_cell_angle_gamma 120.00
_space_group_name_H-M_alt 'P -6 m 2'
_space_group_IT_number 187
_space_group_name_Hall 'P -6 2'
loop_
_atom_site_label
_atom_site_type_symbol
_atom_site_fract_x
_atom_site_fract_y
_atom_site_fract_z
_atom_site_occupancy
Li1 Li 0.0000 0.0000 0.0000 1
Li2 Li 0.0005 0.5002 0.5000 1
Li3 Li 0.3294 0.1647 0.2559 1
Li4 Li 0.3333 0.6667 0.2472 1
Li5 Li 0.5017 0.0034 0.0000 1
Cd1 Cd 0.0000 0.0000 0.5000 1
```

=====

Entry 3:
Starting from a structure optimized by DFT (PBE), the powder diffraction line list of PmTm3Si4 was simulated for copper Kα.
Peak positions follow from Bragg's law for the DFT cell and can differ from measured ones.

Principal peaks in the range 2θ = 5–70°, in order of rising 2θ:
- hkl 0 1 3, 2θ 22.08, intensity 21
- hkl 0 2 0, 2θ 28.26, intensity 27
- hkl 1 1 2, 2θ 29.61, intensity 100
- hkl 0 1 5, 2θ 31.87, intensity 14
- hkl 1 1 4, 2θ 35.77, intensity 14
- hkl 0 2 4, 2θ 36.54, intensity 18
- hkl 1 0 5, 2θ 37.09, intensity 14
- hkl 1 2 3, 2θ 40.90, intensity 13
- hkl 1 3 2, 2θ 50.87, intensity 21
- hkl 1 1 8, 2θ 54.61, intensity 18

Structural model:
```
data_PmTm3Si4
_cell_length_a 3.8208
_cell_length_b 6.3168
_cell_length_c 15.6752
_cell_angle_alpha 90.00
_cell_angle_beta 90.00
_cell_angle_gamma 90.00
_space_group_name_H-M_alt 'I m m m'
_space_group_IT_number 71
_space_group_name_Hall '-I 2 2'
loop_
_atom_site_label
_atom_site_type_symbol
_atom_site_fract_x
_atom_site_fract_y
_atom_site_fract_z
_atom_site_occupancy
Pm1 Pm 0.0000 0.0000 0.0000 1
Tm1 Tm 0.0000 0.0000 0.5000 1
Tm2 Tm 0.0000 0.5000 0.3032 1
Si1 Si 0.0000 0.3159 0.1333 1
```